The following is a computed powder diffraction line list of CuMo4PbC2. It was derived from DFT lattice parameters and positions (PBE), using λ = 1.5418 Å (Cu Kα).
Neutral-atom scattering factors, no anomalous dispersion.

Main lines, low angle first (2θ = 5–70°):
two_theta, intensity
6.6, 237
32.8, 275
33.6, 67
35.5, 144
38.7, 1000
40.6, 150
47.7, 60
53.1, 138
58.5, 214
65.7, 78

Structure:
```
8
Lattice="3.157 0.000 0.000 -1.579 2.734 0.000 0.000 0.000 13.320" Properties=species:S:1:pos:R:3 pbc="T T T"
Cu 0.000 0.000 0.000
Mo 0.000 0.000 4.205
Mo 0.000 0.000 9.115
Mo 1.579 0.911 2.003
Mo 1.579 0.911 11.318
Pb 1.579 0.911 6.660
C 0.000 1.823 3.115
C 0.000 1.823 10.205
```

=====

The following is a computed powder diffraction line list of Dy3Zn3Ir2Au. It was derived from DFT lattice parameters and positions (PBE), using λ = 1.5418 Å (Cu Kα).
Neutral-atom scattering factors, no anomalous dispersion.

Main lines, low angle first (2θ = 5–70°):
two_theta, intensity
24.4, 276
27.2, 189
33.9, 701
36.8, 1000
37.6, 211
42.9, 472
44.7, 348
47.5, 234
65.9, 264
69.2, 305

Structure:
```
9
Lattice="7.309 0.000 0.000 -3.655 6.330 0.000 0.000 0.000 3.828" Properties=species:S:1:pos:R:3 pbc="T T T"
Dy -2.159 3.740 0.000
Dy 1.495 2.590 0.000
Dy 4.318 0.000 0.000
Zn -0.975 1.688 1.914
Zn 1.949 0.000 1.914
Zn 2.680 4.642 1.914
Ir 0.000 4.220 1.914
Ir 3.655 2.110 1.914
Au 0.000 0.000 0.000
```

=====

The following is a computed powder diffraction line list of Re3AgGe5. It was derived from DFT lattice parameters and positions (PBE), using λ = 1.5418 Å (Cu Kα).
Neutral-atom scattering factors, no anomalous dispersion.

Main lines, low angle first (2θ = 5–70°):
two_theta, intensity
11.7, 1000
23.0, 224
23.5, 316
35.5, 258
36.7, 247
40.2, 318
41.0, 213
42.0, 522
47.1, 856
64.4, 232

Structure:
```
9
Lattice="5.178 0.000 0.000 -2.589 4.485 0.000 0.000 0.000 7.583" Properties=species:S:1:pos:R:3 pbc="T T T"
Re -1.295 2.242 0.000
Re 2.589 0.000 0.000
Re 1.295 2.242 0.000
Ag 0.000 0.000 3.791
Ge 0.000 0.000 0.000
Ge 0.000 2.990 2.311
Ge 0.000 2.990 5.272
Ge 2.589 1.495 2.311
Ge 2.589 1.495 5.272
```

=====

The following is a computed powder diffraction line list of Gd2Ag2TeS3. It was derived from DFT lattice parameters and positions (PBE), using λ = 1.5418 Å (Cu Kα).
Neutral-atom scattering factors, no anomalous dispersion.

Main lines, low angle first (2θ = 5–70°):
two_theta, intensity
25.0, 686
26.5, 763
28.5, 597
33.4, 718
35.1, 458
36.4, 1000
37.4, 400
39.2, 588
45.1, 337
47.0, 616

Structure:
```
16
Lattice="9.903 0.000 0.000 0.000 9.197 0.000 -0.168 0.000 4.269" Properties=species:S:1:pos:R:3 pbc="T T T"
Gd 0.000 0.000 0.000
Gd 0.305 4.599 1.868
Gd 4.951 4.599 0.000
Gd 5.257 0.000 1.868
Ag 2.597 2.280 1.118
Ag 2.597 6.917 1.118
Ag 7.548 2.319 1.118
Ag 7.548 6.878 1.118
Te 2.922 0.000 3.884
Te 7.874 4.599 3.884
S 0.105 1.828 2.079
S 0.105 7.370 2.079
S 2.009 4.599 4.138
S 5.056 2.771 2.079
S 5.056 6.426 2.079
S 6.960 0.000 4.138
```